[1]
Simulated PXRD pattern
Compound: Pm5NdTh
Radiation: a wavelength of 1.5418 Å
Structure: a cell relaxed with PBE

Top 10 peaks for 2θ = 15–90°, in order of rising 2θ:
hkl 1 1 0, 17.84 deg, I = 78
hkl 0 2 0, 19.85 deg, I = 87
hkl 0 0 4, 29.36 deg, I = 100
hkl 2 0 0, 29.89 deg, I = 96
hkl 2 0 2, 33.39 deg, I = 43
hkl 1 3 0, 33.59 deg, I = 75
hkl 0 2 4, 35.69 deg, I = 40
hkl 2 2 0, 36.14 deg, I = 39
hkl 2 0 4, 42.39 deg, I = 74
hkl 1 3 4, 45.20 deg, I = 66

```
data_Pm5NdTh
_space_group_name_H-M_alt 'I m m m'
_space_group_IT_number 71
_space_group_name_Hall '-I 2 2'
_cell_length_a 5.9794
_cell_length_b 8.9443
_cell_length_c 12.1698
_cell_angle_alpha 90.00
_cell_angle_beta 90.00
_cell_angle_gamma 90.00
loop_
_atom_site_label
_atom_site_fract_x
_atom_site_fract_y
_atom_site_fract_z
_atom_site_occupancy
Pm1 0.0000 0.0000 0.0000 1
Pm2 0.0000 0.1740 0.5000 1
Pm3 0.0000 0.5000 0.2466 1
Nd1 0.0000 0.5000 0.0000 1
Th1 0.0000 0.5000 0.5000 1
```


[2]
Simulated PXRD pattern
Compound: Pm4Nd4Th
Radiation: a wavelength of 1.5418 Å
Structure: a cell relaxed with PBE

Top 10 peaks for 2θ = 15–90°, in order of rising 2θ:
hkl 3 0 1, 29.91 deg, I = 100
hkl 0 0 2, 34.57 deg, I = 17
hkl 3 3 0, 34.73 deg, I = 34
hkl 3 3 2, 49.81 deg, I = 24
hkl 6 0 0, 49.93 deg, I = 12
hkl 3 0 3, 59.09 deg, I = 15
hkl 6 3 1, 59.30 deg, I = 29
hkl 6 0 2, 62.15 deg, I = 12
hkl 6 3 3, 80.94 deg, I = 12
hkl 6 6 2, 83.67 deg, I = 11

```
data_Pm4Nd4Th
_space_group_name_H-M_alt 'I 4/m m m'
_space_group_IT_number 139
_space_group_name_Hall '-I 4 2'
_cell_length_a 10.9597
_cell_length_b 10.9597
_cell_length_c 5.1896
_cell_angle_alpha 90.00
_cell_angle_beta 90.00
_cell_angle_gamma 90.00
loop_
_atom_site_label
_atom_site_fract_x
_atom_site_fract_y
_atom_site_fract_z
_atom_site_occupancy
Pm1 0.0000 0.3305 0.0000 1
Nd1 0.1625 0.1625 0.5000 1
Th1 0.0000 0.0000 0.0000 1
```


[3]
Simulated PXRD pattern
Compound: PmNdYTh
Radiation: a wavelength of 1.5418 Å
Structure: a cell relaxed with PBE

Top 10 peaks for 2θ = 15–90°, in order of rising 2θ:
hkl 1 1 0, 28.55 deg, I = 21
hkl 1 1 -1, 28.88 deg, I = 27
hkl 0 0 4, 30.25 deg, I = 85
hkl 2 0 1, 31.16 deg, I = 100
hkl 2 0 -3, 33.59 deg, I = 86
hkl 2 0 2, 35.04 deg, I = 20
hkl 0 2 0, 50.35 deg, I = 43
hkl 2 0 5, 52.72 deg, I = 22
hkl 3 1 3, 59.86 deg, I = 37
hkl 0 2 4, 59.92 deg, I = 20

```
data_PmNdYTh
_space_group_name_H-M_alt 'C 1 m 1'
_space_group_IT_number 8
_cell_length_a 6.2829
_cell_length_b 3.6225
_cell_length_c 11.9948
_cell_angle_alpha 90.00
_cell_angle_beta 100.09
_cell_angle_gamma 90.00
loop_
_space_group_symop_operation_xyz
'x,y,z'
'x,-y,z'
'x+1/2,y+1/2,z'
'x+1/2,-y+1/2,z'
loop_
_atom_site_label
_atom_site_fract_x
_atom_site_fract_y
_atom_site_fract_z
_atom_site_occupancy
Pm1 0.0000 0.0000 0.0000 1
Nd1 0.3339 0.5000 0.5002 1
Y1 0.4157 0.0000 0.2500 1
Th1 0.2506 0.0000 0.7535 1
```


[4]
Simulated PXRD pattern
Compound: Pm2Nd5YTh
Radiation: a wavelength of 1.5418 Å
Structure: a cell relaxed with PBE

Top 10 peaks for 2θ = 15–90°, in order of rising 2θ:
hkl 1 3 2, 26.39 deg, I = 14
hkl 1 1 3, 30.43 deg, I = 22
hkl 1 5 2, 31.05 deg, I = 100
hkl 0 8 0, 32.53 deg, I = 20
hkl 2 0 0, 32.72 deg, I = 31
hkl 0 0 4, 33.90 deg, I = 19
hkl 0 8 4, 47.63 deg, I = 10
hkl 2 0 4, 47.84 deg, I = 15
hkl 3 5 2, 57.36 deg, I = 18
hkl 1 13 2, 59.68 deg, I = 10

```
data_Pm2Nd5YTh
_space_group_name_H-M_alt 'C m c m'
_space_group_IT_number 63
_space_group_name_Hall '-C 2c 2'
_cell_length_a 5.4735
_cell_length_b 22.0534
_cell_length_c 10.5765
_cell_angle_alpha 90.00
_cell_angle_beta 90.00
_cell_angle_gamma 90.00
loop_
_atom_site_label
_atom_site_fract_x
_atom_site_fract_y
_atom_site_fract_z
_atom_site_occupancy
Pm1 0.0000 0.1134 0.0015 1
Nd1 0.0000 0.0018 0.7500 1
Nd2 0.0000 0.2771 0.5573 1
Nd3 0.0000 0.3732 0.2500 1
Nd4 0.0000 0.5000 0.0000 1
Y1 0.0000 0.3976 0.7500 1
Th1 0.0000 0.2126 0.2500 1
```


[5]
Simulated PXRD pattern
Compound: PmNd5Y2Th
Radiation: a wavelength of 1.5418 Å
Structure: a cell relaxed with PBE

Top 10 peaks for 2θ = 15–90°, in order of rising 2θ:
hkl 0 6 1, 27.35 deg, I = 21
hkl 1 1 3, 29.95 deg, I = 43
hkl 2 0 0, 31.17 deg, I = 40
hkl 1 5 2, 31.62 deg, I = 100
hkl 0 0 4, 33.73 deg, I = 12
hkl 2 6 1, 41.94 deg, I = 13
hkl 0 6 5, 50.52 deg, I = 11
hkl 3 5 2, 55.76 deg, I = 21
hkl 1 11 3, 58.07 deg, I = 13
hkl 2 6 5, 60.57 deg, I = 12

```
data_PmNd5Y2Th
_space_group_name_H-M_alt 'C m c 21'
_space_group_IT_number 36
_cell_length_a 5.7381
_cell_length_b 20.5558
_cell_length_c 10.6305
_cell_angle_alpha 90.00
_cell_angle_beta 90.00
_cell_angle_gamma 90.00
loop_
_space_group_symop_operation_xyz
'x,y,z'
'-x,-y,z+1/2'
'-x,y,z'
'x,-y,z+1/2'
'x+1/2,y+1/2,z'
'-x+1/2,-y+1/2,z+1/2'
'-x+1/2,y+1/2,z'
'x+1/2,-y+1/2,z+1/2'
loop_
_atom_site_label
_atom_site_fract_x
_atom_site_fract_y
_atom_site_fract_z
_atom_site_occupancy
Pm1 0.0000 0.0908 0.0000 1
Nd1 0.0000 0.0220 0.2920 1
Nd2 0.0000 0.1101 0.5763 1
Nd3 0.0000 0.2072 0.2515 1
Nd4 0.0000 0.2220 0.8614 1
Nd5 0.0000 0.4834 0.5714 1
Y1 0.0000 0.3830 0.8686 1
Y2 0.0000 0.3872 0.2840 1
Th1 0.0000 0.2994 0.5604 1
```


[6]
Simulated PXRD pattern
Compound: Pm3NdY6Th2
Radiation: a wavelength of 1.5418 Å
Structure: a cell relaxed with PBE

Top 10 peaks for 2θ = 15–90°, in order of rising 2θ:
hkl 0 0 2, 15.22 deg, I = 15
hkl 1 3 1, 30.35 deg, I = 100
hkl 0 0 4, 30.72 deg, I = 32
hkl 2 0 2, 35.29 deg, I = 67
hkl 0 6 0, 50.53 deg, I = 24
hkl 1 3 5, 51.02 deg, I = 23
hkl 4 0 0, 60.09 deg, I = 14
hkl 3 3 3, 60.32 deg, I = 19
hkl 2 6 2, 63.13 deg, I = 12
hkl 4 6 0, 82.27 deg, I = 12

```
data_Pm3NdY6Th2
_space_group_name_H-M_alt 'C 1 2/m 1'
_space_group_IT_number 12
_cell_length_a 6.2590
_cell_length_b 10.8359
_cell_length_c 11.8278
_cell_angle_alpha 90.00
_cell_angle_beta 100.20
_cell_angle_gamma 90.00
loop_
_space_group_symop_operation_xyz
'x,y,z'
'-x,-y,-z'
'-x,y,-z'
'x,-y,z'
'x+1/2,y+1/2,z'
'-x+1/2,-y+1/2,-z'
'-x+1/2,y+1/2,-z'
'x+1/2,-y+1/2,z'
loop_
_atom_site_label
_atom_site_fract_x
_atom_site_fract_y
_atom_site_fract_z
_atom_site_occupancy
Pm1 0.0000 0.0000 0.0000 1
Pm2 0.0000 0.3338 0.0000 1
Nd1 0.0000 0.5000 0.5000 1
Y1 0.2444 0.0000 0.7462 1
Y2 0.2484 0.1691 0.2540 1
Th1 0.0000 0.1666 0.5000 1
```